Record 1
For Tb2GdZn3Pt2Au, a crystal structure in OQMD, relaxed with PBE gives the computed powder diffraction line list in this record (λ = 1.5418 Å (Cu Kα)).
Peak positions follow from Bragg's law for the DFT cell and can differ from measured ones.

Atomic structure:
a = 3.871 Å, b = 7.390 Å, c = 7.390 Å
α = 120.04°, β = 90.00°, γ = 90.00°
Fractional positions:
Tb1 0.000 0.205 0.795
Tb2 0.000 0.795 0.205
Gd1 0.000 0.385 0.385
Zn1 0.500 0.053 0.053
Zn2 0.500 0.537 0.795
Zn3 0.500 0.795 0.537
Pt1 0.500 0.127 0.462
Pt2 0.500 0.462 0.127
Au1 0.000 0.796 0.796

Principal peaks in the range 5 to 70 degrees two-theta, low angle first:
2θ = 24.1°, rel. 29.6
2θ = 26.9°, rel. 18.1
2θ = 33.5°, rel. 67.3
2θ = 36.4°, rel. 100.0
2θ = 37.2°, rel. 22.1
2θ = 42.4°, rel. 44.3
2θ = 44.2°, rel. 36.0
2θ = 46.9°, rel. 23.2
2θ = 65.1°, rel. 24.9
2θ = 68.3°, rel. 29.8

Record 2
For Gd3Sb4Au3, a crystal structure in OQMD, relaxed with PBE gives the computed powder diffraction line list in this record (λ = 1.5418 Å (Cu Kα)).
Peak positions follow from Bragg's law for the DFT cell and can differ from measured ones.

Atomic structure:
a = 8.614 Å, b = 8.614 Å, c = 8.614 Å
α = 109.47°, β = 109.47°, γ = 109.47°
Fractional positions:
Gd1 0.125 0.875 0.250
Gd2 0.250 0.125 0.875
Gd3 0.375 0.625 0.750
Gd4 0.625 0.750 0.375
Gd5 0.750 0.375 0.625
Gd6 0.875 0.250 0.125
Sb1 0.000 0.178 0.500
Sb2 0.000 0.678 0.500
Sb3 0.178 0.500 0.000
Sb4 0.322 0.322 0.322
Sb5 0.500 0.000 0.178
Sb6 0.500 0.000 0.678
Sb7 0.678 0.500 0.000
Sb8 0.822 0.822 0.822
Au1 0.125 0.750 0.875
Au2 0.250 0.625 0.375
Au3 0.375 0.250 0.625
Au4 0.625 0.375 0.250
Au5 0.750 0.875 0.125
Au6 0.875 0.125 0.750

Principal peaks in the range 5 to 70 degrees two-theta, low angle first:
2θ = 21.9°, rel. 22.5
2θ = 25.3°, rel. 11.3
2θ = 33.7°, rel. 100.0
2θ = 40.6°, rel. 48.7
2θ = 44.6°, rel. 13.5
2θ = 46.6°, rel. 11.3
2θ = 50.2°, rel. 16.9
2θ = 65.0°, rel. 11.7
2θ = 68.0°, rel. 10.7
2θ = 69.4°, rel. 11.9

Record 3
For GdAuSe2, a crystal structure in OQMD, relaxed with PBE gives the computed powder diffraction line list in this record (λ = 1.5418 Å (Cu Kα)).
Peak positions follow from Bragg's law for the DFT cell and can differ from measured ones.

Atomic structure:
a = 6.289 Å, b = 7.277 Å, c = 8.094 Å
α = 90.00°, β = 90.01°, γ = 90.00°
Fractional positions:
Gd1 0.175 0.035 0.252
Gd2 0.175 0.465 0.752
Gd3 0.825 0.535 0.248
Gd4 0.825 0.965 0.748
Au1 0.495 0.742 0.502
Au2 0.495 0.758 0.002
Au3 0.505 0.242 0.998
Au4 0.505 0.258 0.498
Se1 0.067 0.748 0.500
Se2 0.067 0.752 0.000
Se3 0.367 0.082 0.744
Se4 0.367 0.418 0.244
Se5 0.633 0.582 0.756
Se6 0.633 0.918 0.256
Se7 0.933 0.248 0.000
Se8 0.933 0.252 0.500

Principal peaks in the range 5 to 70 degrees two-theta, low angle first:
2θ = 14.1°, rel. 19.6
2θ = 21.7°, rel. 19.0
2θ = 28.4°, rel. 26.2
2θ = 32.9°, rel. 35.6
2θ = 33.1°, rel. 100.0
2θ = 36.2°, rel. 52.1
2θ = 37.8°, rel. 37.8
2θ = 44.8°, rel. 27.0
2θ = 55.4°, rel. 23.1
2θ = 60.0°, rel. 19.7

Record 4
For SrGdTeAuSe2, a crystal structure in OQMD, relaxed with PBE gives the computed powder diffraction line list in this record (λ = 1.5418 Å (Cu Kα)).
Peak positions follow from Bragg's law for the DFT cell and can differ from measured ones.

Atomic structure:
a = 7.611 Å, b = 7.611 Å, c = 11.015 Å
α = 90.00°, β = 90.00°, γ = 148.32°
Fractional positions:
Sr1 0.218 0.782 0.750
Sr2 0.782 0.218 0.250
Gd1 0.000 0.000 0.000
Gd2 0.000 0.000 0.500
Te1 0.102 0.898 0.250
Te2 0.898 0.102 0.750
Au1 0.474 0.526 0.250
Au2 0.526 0.474 0.750
Se1 0.365 0.635 0.060
Se2 0.365 0.635 0.440
Se3 0.635 0.365 0.560
Se4 0.635 0.365 0.940

Principal peaks in the range 5 to 70 degrees two-theta, low angle first:
2θ = 12.1°, rel. 70.5
2θ = 29.4°, rel. 49.8
2θ = 32.5°, rel. 31.1
2θ = 32.6°, rel. 100.0
2θ = 41.1°, rel. 30.4
2θ = 43.6°, rel. 23.7
2θ = 44.6°, rel. 16.6
2θ = 50.5°, rel. 18.7
2θ = 55.4°, rel. 13.7
2θ = 64.1°, rel. 13.8

Record 5
For Gd4Si3Au, a crystal structure in OQMD, relaxed with PBE gives the computed powder diffraction line list in this record (λ = 1.5418 Å (Cu Kα)).
Peak positions follow from Bragg's law for the DFT cell and can differ from measured ones.

Atomic structure:
a = 5.824 Å, b = 4.024 Å, c = 7.921 Å
α = 90.00°, β = 90.71°, γ = 90.00°
Fractional positions:
Gd1 0.000 0.000 0.000
Gd2 0.240 0.500 0.646
Gd3 0.498 0.500 0.144
Gd4 0.739 0.000 0.500
Si1 0.242 0.000 0.362
Si2 0.760 0.500 0.780
Si3 0.996 0.500 0.286
Au1 0.488 0.000 0.862

Principal peaks in the range 5 to 70 degrees two-theta, low angle first:
2θ = 11.2°, rel. 36.1
2θ = 29.3°, rel. 74.1
2θ = 31.7°, rel. 100.0
2θ = 32.6°, rel. 49.6
2θ = 32.9°, rel. 43.1
2θ = 35.2°, rel. 45.2
2θ = 37.6°, rel. 34.3
2θ = 39.8°, rel. 39.1
2θ = 40.0°, rel. 39.2
2θ = 45.1°, rel. 37.5

Record 6
For Gd2SiAu, a crystal structure in OQMD, relaxed with PBE gives the computed powder diffraction line list in this record (λ = 1.5418 Å (Cu Kα)).
Peak positions follow from Bragg's law for the DFT cell and can differ from measured ones.

Atomic structure:
a = 4.279 Å, b = 7.708 Å, c = 5.830 Å
α = 90.00°, β = 90.00°, γ = 90.00°
Fractional positions:
Gd1 0.000 0.071 0.000
Gd2 0.000 0.577 0.773
Gd3 0.500 0.423 0.273
Gd4 0.500 0.929 0.500
Si1 0.000 0.701 0.285
Si2 0.500 0.299 0.785
Au1 0.000 0.208 0.506
Au2 0.500 0.792 0.006

Principal peaks in the range 5 to 70 degrees two-theta, low angle first:
2θ = 19.1°, rel. 39.8
2θ = 23.8°, rel. 34.1
2θ = 28.3°, rel. 37.3
2θ = 31.2°, rel. 94.1
2θ = 32.8°, rel. 68.9
2θ = 34.9°, rel. 100.0
2θ = 38.3°, rel. 40.8
2θ = 39.2°, rel. 96.6
2θ = 42.2°, rel. 44.8
2θ = 54.5°, rel. 39.8

Record 7
For GdYSi2Au2, a crystal structure in OQMD, relaxed with PBE gives the computed powder diffraction line list in this record (λ = 1.5418 Å (Cu Kα)).
Peak positions follow from Bragg's law for the DFT cell and can differ from measured ones.

Atomic structure:
a = 4.332 Å, b = 4.332 Å, c = 7.708 Å
α = 90.00°, β = 90.00°, γ = 120.00°
Fractional positions:
Gd1 0.000 0.000 0.000
Y1 0.000 0.000 0.500
Si1 0.333 0.667 0.724
Si2 0.667 0.333 0.224
Au1 0.333 0.667 0.265
Au2 0.667 0.333 0.765

Principal peaks in the range 5 to 70 degrees two-theta, low angle first:
2θ = 26.4°, rel. 73.7
2θ = 33.3°, rel. 100.0
2θ = 41.7°, rel. 60.3
2θ = 42.7°, rel. 23.5
2θ = 47.2°, rel. 12.9
2θ = 50.0°, rel. 13.7
2θ = 54.4°, rel. 24.8
2θ = 61.2°, rel. 8.2
2θ = 64.8°, rel. 30.1
2θ = 67.1°, rel. 11.6

Record 8
For SmGdAu4, a crystal structure in OQMD, relaxed with PBE gives the computed powder diffraction line list in this record (λ = 1.5418 Å (Cu Kα)).
Peak positions follow from Bragg's law for the DFT cell and can differ from measured ones.

Atomic structure:
a = 3.769 Å, b = 3.769 Å, c = 9.135 Å
α = 90.00°, β = 90.00°, γ = 90.00°
Fractional positions:
Sm1 0.000 0.000 0.000
Gd1 0.500 0.500 0.500
Au1 0.000 0.000 0.336
Au2 0.000 0.000 0.664
Au3 0.500 0.500 0.168
Au4 0.500 0.500 0.832

Principal peaks in the range 5 to 70 degrees two-theta, low angle first:
2θ = 19.4°, rel. 0.7
2θ = 25.6°, rel. 1.9
2θ = 33.6°, rel. 69.4
2θ = 38.0°, rel. 100.0
2θ = 39.1°, rel. 0.6
2θ = 48.3°, rel. 25.5
2θ = 55.4°, rel. 0.5
2θ = 60.8°, rel. 6.4
2θ = 63.0°, rel. 46.1

Record 9
For GdSnTe3Au, a crystal structure in OQMD, relaxed with PBE gives the computed powder diffraction line list in this record (λ = 1.5418 Å (Cu Kα)).
Peak positions follow from Bragg's law for the DFT cell and can differ from measured ones.

Atomic structure:
a = 10.220 Å, b = 10.220 Å, c = 8.777 Å
α = 101.04°, β = 101.04°, γ = 24.16°
Fractional positions:
Gd1 0.160 0.160 0.091
Gd2 0.840 0.840 0.909
Sn1 0.122 0.122 0.574
Sn2 0.878 0.878 0.426
Te1 0.000 0.000 0.000
Te2 0.312 0.312 0.645
Te3 0.322 0.322 0.154
Te4 0.500 0.500 0.500
Te5 0.678 0.678 0.846
Te6 0.688 0.688 0.355
Au1 0.446 0.446 0.786
Au2 0.554 0.554 0.214

Principal peaks in the range 5 to 70 degrees two-theta, low angle first:
2θ = 27.3°, rel. 37.0
2θ = 29.2°, rel. 100.0
2θ = 34.1°, rel. 44.2
2θ = 34.8°, rel. 22.7
2θ = 38.4°, rel. 15.6
2θ = 38.6°, rel. 15.1
2θ = 40.0°, rel. 15.8
2θ = 41.2°, rel. 18.0
2θ = 42.3°, rel. 30.3
2θ = 45.8°, rel. 13.5

Record 10
For GdSnTe3Au, a crystal structure in OQMD, relaxed with PBE gives the computed powder diffraction line list in this record (λ = 1.5418 Å (Cu Kα)).
Peak positions follow from Bragg's law for the DFT cell and can differ from measured ones.

Atomic structure:
a = 14.568 Å, b = 4.302 Å, c = 11.636 Å
α = 90.00°, β = 90.00°, γ = 90.00°
Fractional positions:
Gd1 0.007 0.250 0.183
Gd2 0.493 0.750 0.683
Gd3 0.507 0.250 0.317
Gd4 0.993 0.750 0.817
Sn1 0.222 0.250 0.443
Sn2 0.278 0.750 0.943
Sn3 0.722 0.250 0.057
Sn4 0.778 0.750 0.557
Te1 0.111 0.250 0.944
Te2 0.126 0.750 0.615
Te3 0.153 0.750 0.250
Te4 0.347 0.250 0.750
Te5 0.374 0.250 0.115
Te6 0.389 0.750 0.444
Te7 0.611 0.250 0.556
Te8 0.626 0.750 0.885
Te9 0.653 0.750 0.250
Te10 0.847 0.250 0.750
Te11 0.874 0.250 0.385
Te12 0.889 0.750 0.056
Au1 0.007 0.750 0.406
Au2 0.493 0.250 0.906
Au3 0.507 0.750 0.094
Au4 0.993 0.250 0.594

Principal peaks in the range 5 to 70 degrees two-theta, low angle first:
2θ = 9.7°, rel. 30.0
2θ = 12.2°, rel. 48.9
2θ = 26.0°, rel. 29.7
2θ = 28.6°, rel. 26.8
2θ = 28.8°, rel. 51.7
2θ = 31.8°, rel. 100.0
2θ = 33.5°, rel. 65.6
2θ = 40.5°, rel. 36.2
2θ = 42.0°, rel. 38.7
2θ = 50.1°, rel. 26.5

Record 11
For GdSnTe3Au, a crystal structure in OQMD, relaxed with PBE gives the computed powder diffraction line list in this record (λ = 1.5418 Å (Cu Kα)).
Peak positions follow from Bragg's law for the DFT cell and can differ from measured ones.

Atomic structure:
a = 8.302 Å, b = 4.327 Å, c = 10.759 Å
α = 90.00°, β = 107.32°, γ = 90.00°
Fractional positions:
Gd1 0.203 0.250 0.181
Gd2 0.797 0.750 0.819
Sn1 0.214 0.750 0.705
Sn2 0.786 0.250 0.295
Te1 0.085 0.250 0.874
Te2 0.202 0.250 0.471
Te3 0.465 0.750 0.174
Te4 0.535 0.250 0.826
Te5 0.798 0.750 0.529
Te6 0.915 0.750 0.126
Au1 0.384 0.750 0.404
Au2 0.616 0.250 0.596

Principal peaks in the range 5 to 70 degrees two-theta, low angle first:
2θ = 8.6°, rel. 46.0
2θ = 11.9°, rel. 93.1
2θ = 26.2°, rel. 66.5
2θ = 29.9°, rel. 50.6
2θ = 30.6°, rel. 100.0
2θ = 32.6°, rel. 72.6
2θ = 33.4°, rel. 63.5
2θ = 33.7°, rel. 83.1
2θ = 41.4°, rel. 47.9
2θ = 41.7°, rel. 73.1

Record 12
For GdYAu4, a crystal structure in OQMD, relaxed with PBE gives the computed powder diffraction line list in this record (λ = 1.5418 Å (Cu Kα)).
Peak positions follow from Bragg's law for the DFT cell and can differ from measured ones.

Atomic structure:
a = 3.745 Å, b = 3.745 Å, c = 9.078 Å
α = 90.00°, β = 90.00°, γ = 90.00°
Fractional positions:
Gd1 0.000 0.000 0.000
Y1 0.500 0.500 0.500
Au1 0.000 0.000 0.335
Au2 0.000 0.000 0.665
Au3 0.500 0.500 0.166
Au4 0.500 0.500 0.834

Principal peaks in the range 5 to 70 degrees two-theta, low angle first:
2θ = 9.7°, rel. 2.1
2θ = 19.6°, rel. 2.2
2θ = 25.7°, rel. 6.0
2θ = 33.9°, rel. 69.4
2θ = 38.2°, rel. 100.0
2θ = 39.4°, rel. 1.7
2θ = 48.6°, rel. 25.3
2θ = 55.8°, rel. 1.6
2θ = 61.3°, rel. 6.4
2θ = 63.5°, rel. 45.8

Record 13
For GeAu15, a crystal structure in OQMD, relaxed with PBE gives the computed powder diffraction line list in this record (λ = 1.5418 Å (Cu Kα)).
Peak positions follow from Bragg's law for the DFT cell and can differ from measured ones.

Atomic structure:
a = 5.086 Å, b = 37.704 Å, c = 5.085 Å
α = 90.00°, β = 110.79°, γ = 90.00°
Fractional positions:
Ge1 0.000 0.209 0.250
Ge2 0.000 0.791 0.750
Au1 0.000 0.240 0.750
Au2 0.000 0.282 0.250
Au3 0.000 0.322 0.750
Au4 0.000 0.362 0.250
Au5 0.000 0.402 0.750
Au6 0.000 0.441 0.250
Au7 0.000 0.480 0.750
Au8 0.000 0.520 0.250
Au9 0.000 0.559 0.750
Au10 0.000 0.598 0.250
Au11 0.000 0.638 0.750
Au12 0.000 0.678 0.250
Au13 0.000 0.718 0.750
Au14 0.000 0.760 0.250
Au15 0.500 0.207 0.750
Au16 0.500 0.240 0.250
Au17 0.500 0.284 0.750
Au18 0.500 0.322 0.250
Au19 0.500 0.362 0.750
Au20 0.500 0.402 0.250
Au21 0.500 0.441 0.750
Au22 0.500 0.481 0.250
Au23 0.500 0.519 0.750
Au24 0.500 0.559 0.250
Au25 0.500 0.598 0.750
Au26 0.500 0.638 0.250
Au27 0.500 0.678 0.750
Au28 0.500 0.716 0.250
Au29 0.500 0.760 0.750
Au30 0.500 0.793 0.250

Principal peaks in the range 5 to 70 degrees two-theta, low angle first:
2θ = 9.4°, rel. 13.2
2θ = 35.7°, rel. 44.7
2θ = 37.7°, rel. 57.8
2θ = 37.9°, rel. 100.0
2θ = 42.5°, rel. 27.7
2θ = 43.2°, rel. 23.4
2θ = 43.3°, rel. 11.2
2θ = 44.3°, rel. 37.8
2θ = 62.2°, rel. 18.2
2θ = 63.6°, rel. 25.6